# 1
Starting from a PBE-relaxed structure, the powder diffractogram of MgSi8O16 was simulated for Cu Ka.
Neutral-atom scattering factors, no anomalous dispersion.

Main lines, low angle first (2θ = 10–80°):
- d 7.210, intensity 100, hkl 1 0 0
- d 5.590, intensity 53, hkl 1 0 1
- d 5.099, intensity 11, hkl 1 1 0
- d 4.428, intensity 47, hkl 0 0 2
- d 3.773, intensity 20, hkl 0 1 2
- d 3.341, intensity 44, hkl 0 2 1
- d 3.225, intensity 58, hkl 2 1 0
- d 2.732, intensity 10, hkl 0 1 3
- d 2.284, intensity 9, hkl 2 0 3
- d 1.590, intensity 8, hkl 0 2 5

Structure:
```
data_MgSi8O16
_symmetry_space_group_name_H-M 'P m m m'
_symmetry_Int_Tables_number 47
_cell_length_a 7.205
_cell_length_b 7.216
_cell_length_c 8.856
_cell_angle_alpha 90.00
_cell_angle_beta 90.00
_cell_angle_gamma 90.00
loop_
_symmetry_equiv_pos_as_xyz
'x,y,z'
'-x,-y,-z'
'-x,-y,z'
'x,y,-z'
'x,-y,-z'
'-x,y,z'
'-x,y,-z'
'x,-y,z'
loop_
_atom_site_label
_atom_site_type_symbol
_atom_site_fract_x
_atom_site_fract_y
_atom_site_fract_z
Mg1 Mg 0.000 0.000 0.000
Si1 Si 0.217 0.500 0.182
Si2 Si 0.500 0.216 0.318
O1 O 0.000 0.500 0.229
O2 O 0.241 0.500 0.000
O3 O 0.314 0.315 0.251
O4 O 0.500 0.000 0.267
O5 O 0.500 0.234 0.500
```



# 2
Starting from a PBE-relaxed structure, the powder diffractogram of MgSi6O12 was simulated for Cu Ka.
Neutral-atom scattering factors, no anomalous dispersion.

Main lines, low angle first (2θ = 10–80°):
- d 4.774, intensity 20, hkl 2 0 -2
- d 4.734, intensity 22, hkl 1 1 0
- d 4.646, intensity 17, hkl 1 1 -1
- d 3.547, intensity 65, hkl 0 0 2
- d 3.481, intensity 100, hkl 4 0 -2
- d 3.448, intensity 92, hkl 3 1 -1
- d 2.495, intensity 11, hkl 1 1 2
- d 2.387, intensity 13, hkl 4 0 -4
- d 2.323, intensity 11, hkl 2 2 -2
- d 1.858, intensity 20, hkl 4 2 0

Structure:
```
data_MgSi6O12
_symmetry_space_group_name_H-M 'C 1 2 1'
_symmetry_Int_Tables_number 5
_cell_length_a 13.988
_cell_length_b 5.318
_cell_length_c 9.550
_cell_angle_alpha 90.00
_cell_angle_beta 132.03
_cell_angle_gamma 90.00
loop_
_symmetry_equiv_pos_as_xyz
'x,y,z'
'-x,y,-z'
'x+1/2,y+1/2,z'
'-x+1/2,y+1/2,-z'
loop_
_atom_site_label
_atom_site_type_symbol
_atom_site_fract_x
_atom_site_fract_y
_atom_site_fract_z
Mg1 Mg 0.000 0.000 0.000
Si1 Si 0.000 0.525 0.000
Si2 Si 0.000 0.551 0.500
Si3 Si 0.162 0.342 0.912
Si4 Si 0.169 0.793 0.444
O1 O 0.058 0.898 0.237
O2 O 0.064 0.372 0.685
O3 O 0.083 0.309 0.986
O4 O 0.117 0.720 0.552
O5 O 0.221 0.518 0.428
O6 O 0.249 0.091 0.981
```



# 3
Starting from a PBE-relaxed structure, the powder diffractogram of MgSi2SnO6 was simulated for Cu Ka.
Neutral-atom scattering factors, no anomalous dispersion.

Main lines, low angle first (2θ = 10–80°):
- d 7.082, intensity 31, hkl 1 1 0
- d 4.754, intensity 23, hkl 1 1 -1
- d 3.787, intensity 24, hkl 1 1 1
- d 3.541, intensity 40, hkl 2 2 0
- d 3.309, intensity 100, hkl 2 2 -1
- d 3.204, intensity 19, hkl 3 1 0
- d 3.132, intensity 18, hkl 1 3 0
- d 2.651, intensity 32, hkl 2 2 1
- d 2.598, intensity 22, hkl 0 0 2
- d 1.723, intensity 17, hkl 2 2 -3

Structure:
```
data_MgSi2SnO6
_symmetry_space_group_name_H-M 'C 1 2/c 1'
_symmetry_Int_Tables_number 15
_cell_length_a 10.790
_cell_length_b 9.876
_cell_length_c 5.516
_cell_angle_alpha 90.00
_cell_angle_beta 109.64
_cell_angle_gamma 90.00
loop_
_symmetry_equiv_pos_as_xyz
'x,y,z'
'-x,-y,-z'
'-x,y,-z+1/2'
'x,-y,z+1/2'
'x+1/2,y+1/2,z'
'-x+1/2,-y+1/2,-z'
'-x+1/2,y+1/2,-z+1/2'
'x+1/2,-y+1/2,z+1/2'
loop_
_atom_site_label
_atom_site_type_symbol
_atom_site_fract_x
_atom_site_fract_y
_atom_site_fract_z
Mg1 Mg 0.000 0.213 0.250
Si1 Si 0.228 0.093 0.716
Sn1 Sn 0.000 0.351 0.750
O1 O 0.092 0.183 0.618
O2 O 0.140 0.317 0.175
O3 O 0.221 0.009 0.451
```



# 4
Starting from a PBE-relaxed structure, the powder diffractogram of Sr3MgSi2O8 was simulated for Cu Ka.
Neutral-atom scattering factors, no anomalous dispersion.

Main lines, low angle first (2θ = 10–80°):
- d 3.944, intensity 36, hkl 1 0 1
- d 2.821, intensity 70, hkl 0 1 2
- d 2.757, intensity 100, hkl 1 1 0
- d 2.331, intensity 19, hkl 0 0 3
- d 2.260, intensity 34, hkl 0 2 1
- d 1.972, intensity 50, hkl 2 0 2
- d 1.780, intensity 20, hkl 1 1 3
- d 1.604, intensity 26, hkl 1 2 2
- d 1.592, intensity 18, hkl 3 0 0
- d 1.379, intensity 19, hkl 2 2 0

Structure:
```
data_Sr3MgSi2O8
_symmetry_space_group_name_H-M 'P -3 m 1'
_symmetry_Int_Tables_number 164
_symmetry_space_group_name_Hall '-P 3 2"'
_cell_length_a 5.5142
_cell_length_b 5.5142
_cell_length_c 6.9939
_cell_angle_alpha 90.00
_cell_angle_beta 90.00
_cell_angle_gamma 120.00
loop_
_atom_site_label
_atom_site_type_symbol
_atom_site_fract_x
_atom_site_fract_y
_atom_site_fract_z
Sr1 Sr 0.0000 0.0000 0.0000
Sr2 Sr 0.3333 0.6667 0.6603
Mg1 Mg 0.0000 0.0000 0.5000
Si1 Si 0.3333 0.6667 0.2232
O1 O 0.1733 0.3466 0.3157
O2 O 0.3333 0.6667 0.9932
```



# 5
Starting from a PBE-relaxed structure, the powder diffractogram of Sr3MgSi2O8 was simulated for Cu Ka.
Neutral-atom scattering factors, no anomalous dispersion.

Main lines, low angle first (2θ = 10–80°):
- d 3.965, intensity 26, hkl 1 1 -2
- d 2.854, intensity 28, hkl 2 0 -4
- d 2.815, intensity 49, hkl 1 1 4
- d 2.759, intensity 100, hkl 3 1 0
- d 2.339, intensity 20, hkl 0 0 6
- d 2.276, intensity 13, hkl 4 0 -2
- d 2.254, intensity 20, hkl 2 2 2
- d 1.983, intensity 31, hkl 2 2 -4
- d 1.959, intensity 17, hkl 4 0 4
- d 1.593, intensity 15, hkl 6 0 0

Structure:
```
data_Sr3MgSi2O8
_symmetry_space_group_name_H-M 'C 1 2/c 1'
_symmetry_Int_Tables_number 15
_cell_length_a 9.568
_cell_length_b 5.512
_cell_length_c 14.036
_cell_angle_alpha 90.00
_cell_angle_beta 91.05
_cell_angle_gamma 90.00
loop_
_symmetry_equiv_pos_as_xyz
'x,y,z'
'-x,-y,-z'
'-x,y,-z+1/2'
'x,-y,z+1/2'
'x+1/2,y+1/2,z'
'-x+1/2,-y+1/2,-z'
'-x+1/2,y+1/2,-z+1/2'
'x+1/2,-y+1/2,z+1/2'
loop_
_atom_site_label
_atom_site_type_symbol
_atom_site_fract_x
_atom_site_fract_y
_atom_site_fract_z
Sr1 Sr 0.000 0.057 0.250
Sr2 Sr 0.173 0.483 0.589
Mg1 Mg 0.000 0.000 0.000
Si1 Si 0.159 0.488 0.866
O1 O 0.075 0.231 0.885
O2 O 0.075 0.295 0.424
O3 O 0.171 0.423 0.257
O4 O 0.185 0.033 0.080
```



Please write out number 5 again, unchanged.
Starting from a PBE-relaxed structure, the powder diffractogram of Sr3MgSi2O8 was simulated for Cu Ka.
Neutral-atom scattering factors, no anomalous dispersion.

Main lines, low angle first (2θ = 10–80°):
- d 3.965, intensity 26, hkl 1 1 -2
- d 2.854, intensity 28, hkl 2 0 -4
- d 2.815, intensity 49, hkl 1 1 4
- d 2.759, intensity 100, hkl 3 1 0
- d 2.339, intensity 20, hkl 0 0 6
- d 2.276, intensity 13, hkl 4 0 -2
- d 2.254, intensity 20, hkl 2 2 2
- d 1.983, intensity 31, hkl 2 2 -4
- d 1.959, intensity 17, hkl 4 0 4
- d 1.593, intensity 15, hkl 6 0 0

Structure:
```
data_Sr3MgSi2O8
_symmetry_space_group_name_H-M 'C 1 2/c 1'
_symmetry_Int_Tables_number 15
_cell_length_a 9.568
_cell_length_b 5.512
_cell_length_c 14.036
_cell_angle_alpha 90.00
_cell_angle_beta 91.05
_cell_angle_gamma 90.00
loop_
_symmetry_equiv_pos_as_xyz
'x,y,z'
'-x,-y,-z'
'-x,y,-z+1/2'
'x,-y,z+1/2'
'x+1/2,y+1/2,z'
'-x+1/2,-y+1/2,-z'
'-x+1/2,y+1/2,-z+1/2'
'x+1/2,-y+1/2,z+1/2'
loop_
_atom_site_label
_atom_site_type_symbol
_atom_site_fract_x
_atom_site_fract_y
_atom_site_fract_z
Sr1 Sr 0.000 0.057 0.250
Sr2 Sr 0.173 0.483 0.589
Mg1 Mg 0.000 0.000 0.000
Si1 Si 0.159 0.488 0.866
O1 O 0.075 0.231 0.885
O2 O 0.075 0.295 0.424
O3 O 0.171 0.423 0.257
O4 O 0.185 0.033 0.080
```